(1)
This entry pairs a crystal structure of K8Tl11 with its computed X-ray diffraction stick pattern. Radiation: λ = 1.5418 Å (Cu Kα). Structure: a DFT-relaxed cell (GGA-PBE, Alexandria).
Neutral-atom scattering factors, no anomalous dispersion.

The 8 most intense peaks (2θ from 5° to 70°), low angle first:
(hkl), two_theta, Rel. int.
0 0 6, 10.3, 51
0 1 2, 10.6, 100
1 0 4, 12.2, 31
1 1 3, 18.2, 26
3 0 0, 30.5, 57
1 1 15, 31.4, 81
2 2 3, 35.8, 24
0 3 12, 37.1, 32

Cell and atoms:
abc: 10.1452 10.1452 51.7165
angles: 90.00 90.00 120.00
Space group R-3c (No. 167, hexagonal axes)
Unique sites:
K: 0.0000 0.0000 0.0795 (multiplicity 12)
K: 0.0283 0.2985 0.1450 (multiplicity 36)
Tl: 0.0000 0.0000 0.1975 (multiplicity 12)
Tl: 0.0000 0.2186 0.7500 (multiplicity 18)
Tl: 0.0087 0.3053 0.2185 (multiplicity 36)

***

(2)
This entry pairs a crystal structure of K6Tl7 with its computed X-ray diffraction stick pattern. Radiation: λ = 1.5418 Å (Cu Kα). Structure: a DFT-relaxed cell (GGA-PBE, Alexandria).
Neutral-atom scattering factors, no anomalous dispersion.

The 8 most intense peaks (2θ from 5° to 70°), low angle first:
(hkl), two_theta, Rel. int.
0 0 3, 7.3, 54
0 0 6, 14.6, 75
1 0 1, 15.0, 63
0 0 12, 29.5, 35
1 1 6, 29.8, 62
0 2 1, 30.1, 49
2 0 5, 32.4, 100
0 2 7, 34.7, 42

Cell and atoms:
abc: 6.8887 6.8887 36.3517
angles: 90.00 90.00 120.00
Space group R-3m (No. 166, hexagonal axes)
Unique sites:
K: 0.0000 0.0000 0.0545 (multiplicity 6)
K: 0.0000 0.0000 0.1540 (multiplicity 6)
K: 0.0000 0.0000 0.3324 (multiplicity 6)
Tl: 0.0000 0.0000 0.5000 (multiplicity 3)
Tl: 0.0006 0.5003 0.9086 (multiplicity 18)

***

(3)
This entry pairs a crystal structure of KTl4 with its computed X-ray diffraction stick pattern. Radiation: λ = 1.5418 Å (Cu Kα). Structure: a DFT-relaxed cell (GGA-PBE, Alexandria).
Neutral-atom scattering factors, no anomalous dispersion.

The 8 most intense peaks (2θ from 5° to 70°), low angle first:
(hkl), two_theta, Rel. int.
0 0 2, 9.4, 70
0 1 5, 30.5, 83
1 1 0, 30.6, 100
1 0 5, 33.8, 64
0 2 0, 38.6, 48
1 2 5, 52.2, 38
2 1 5, 58.5, 27
2 2 0, 63.7, 23

Cell and atoms:
abc: 3.744 4.671 18.823
angles: 90.00 90.00 90.00
Space group Immm (No. 71)
Unique sites:
K: 0.000 0.000 0.000 (multiplicity 2)
Tl: 0.000 0.000 0.203 (multiplicity 4)
Tl: 0.000 0.000 0.380 (multiplicity 4)

***

(4)
This entry pairs a crystal structure of K15Tl with its computed X-ray diffraction stick pattern. Radiation: λ = 1.5418 Å (Cu Kα). Structure: a DFT-relaxed cell (GGA-PBE, Alexandria).
Neutral-atom scattering factors, no anomalous dispersion.

The 8 most intense peaks (2θ from 5° to 70°), low angle first:
(hkl), two_theta, Rel. int.
0 0 1, 6.0, 26
1 0 1, 12.7, 26
2 0 0, 22.5, 26
0 0 4, 24.2, 24
2 0 2, 25.6, 100
2 2 0, 39.5, 19
2 0 6, 43.4, 19
2 2 4, 46.9, 21

Cell and atoms:
abc: 9.1215 9.1215 14.7281
angles: 90.00 90.00 120.00
Space group P-6m2 (No. 187)
Unique sites:
K: 0.0000 0.0000 0.0000 (multiplicity 1)
K: 0.0085 0.5043 0.5000 (multiplicity 3)
K: 0.3175 0.1588 0.2708 (multiplicity 6)
K: 0.3333 0.6667 0.2403 (multiplicity 2)
K: 0.5039 0.0078 0.0000 (multiplicity 3)
Tl: 0.0000 0.0000 0.5000 (multiplicity 1)

***

(5)
This entry pairs a crystal structure of KTl3 with its computed X-ray diffraction stick pattern. Radiation: λ = 1.5418 Å (Cu Kα). Structure: a DFT-relaxed cell (GGA-PBE, Alexandria).
Neutral-atom scattering factors, no anomalous dispersion.

The 8 most intense peaks (2θ from 5° to 70°), low angle first:
(hkl), two_theta, Rel. int.
0 1 1, 13.3, 54
1 1 1, 18.6, 30
0 3 2, 29.4, 100
2 2 1, 30.9, 91
0 6 0, 32.3, 70
2 3 1, 33.2, 52
2 4 1, 36.3, 32
2 8 1, 53.1, 27

Cell and atoms:
abc: 6.820 16.619 7.266
angles: 90.00 90.00 90.00
Space group Pmmn (No. 59, origin choice 2)
Unique sites:
K: 0.250 0.109 0.208 (multiplicity 4)
K: 0.250 0.750 0.588 (multiplicity 2)
Tl: 0.002 0.077 0.669 (multiplicity 8)
Tl: 0.020 0.750 0.067 (multiplicity 4)
Tl: 0.250 0.250 0.572 (multiplicity 2)
Tl: 0.250 0.566 0.920 (multiplicity 4)

***

(6)
This entry pairs a crystal structure of KTmTl with its computed X-ray diffraction stick pattern. Radiation: λ = 1.5418 Å (Cu Kα). Structure: a DFT-relaxed cell (GGA-PBE, Alexandria).
Neutral-atom scattering factors, no anomalous dispersion.

The 8 most intense peaks (2θ from 5° to 70°), low angle first:
(hkl), two_theta, Rel. int.
0 0 2, 6.1, 100
1 0 7, 31.3, 27
1 1 0, 31.8, 19
1 1 2, 32.4, 10
1 0 9, 36.0, 17
2 0 0, 45.6, 7
2 1 7, 56.3, 10
2 1 9, 59.4, 8

Cell and atoms:
abc: 3.978 3.978 28.840
angles: 90.00 90.00 90.00
Space group I4/mmm (No. 139)
Unique sites:
K: 0.000 0.000 0.076 (multiplicity 4)
Tm: 0.000 0.000 0.213 (multiplicity 4)
Tl: 0.000 0.000 0.338 (multiplicity 4)

***

(7)
This entry pairs a crystal structure of KTm2Tl3 with its computed X-ray diffraction stick pattern. Radiation: λ = 1.5418 Å (Cu Kα). Structure: a DFT-relaxed cell (GGA-PBE, Alexandria).
Neutral-atom scattering factors, no anomalous dispersion.

The 8 most intense peaks (2θ from 5° to 70°), low angle first:
(hkl), two_theta, Rel. int.
0 0 1, 7.2, 58
1 0 3, 32.0, 100
1 1 0, 33.2, 59
1 0 4, 37.5, 33
2 0 0, 47.6, 22
2 1 3, 58.5, 36
2 1 4, 62.2, 16
1 1 7, 63.1, 14

Cell and atoms:
abc: 3.820 3.820 12.301
angles: 90.00 90.00 90.00
Space group P4/mmm (No. 123)
Unique sites:
K: 0.000 0.000 0.000 (multiplicity 1)
Tm: 0.000 0.000 0.348 (multiplicity 2)
Tl: 0.500 0.500 0.207 (multiplicity 2)
Tl: 0.500 0.500 0.500 (multiplicity 1)

***

(8)
This entry pairs a crystal structure of K2TlZn with its computed X-ray diffraction stick pattern. Radiation: λ = 1.5418 Å (Cu Kα). Structure: a DFT-relaxed cell (GGA-PBE, Alexandria).
Neutral-atom scattering factors, no anomalous dispersion.

The 8 most intense peaks (2θ from 5° to 70°), low angle first:
(hkl), two_theta, Rel. int.
0 0 2, 16.7, 26
1 0 1, 18.8, 37
1 1 0, 23.8, 23
1 1 2, 29.3, 100
0 0 4, 33.8, 17
2 0 0, 34.0, 34
2 0 4, 48.7, 24
3 1 2, 57.9, 28

Cell and atoms:
abc: 5.276 5.276 10.611
angles: 90.00 90.00 90.00
Space group I4/mmm (No. 139)
Unique sites:
K: 0.000 0.500 0.250 (multiplicity 4)
Tl: 0.000 0.000 0.000 (multiplicity 2)
Zn: 0.000 0.000 0.500 (multiplicity 2)

***

(9)
This entry pairs a crystal structure of K2TlZn with its computed X-ray diffraction stick pattern. Radiation: λ = 1.5418 Å (Cu Kα). Structure: a DFT-relaxed cell (GGA-PBE, Alexandria).
Neutral-atom scattering factors, no anomalous dispersion.

The 8 most intense peaks (2θ from 5° to 70°), low angle first:
(hkl), two_theta, Rel. int.
1 1 1, 18.9, 45
2 0 0, 21.8, 15
2 2 0, 31.1, 100
3 1 1, 36.6, 27
4 0 0, 44.5, 18
3 3 1, 48.8, 13
4 2 2, 55.3, 38
4 4 0, 64.8, 12

Cell and atoms:
abc: 8.140 8.140 8.140
angles: 90.00 90.00 90.00
Space group F-43m (No. 216)
Unique sites:
K: 0.000 0.000 0.000 (multiplicity 4)
K: 0.250 0.250 0.250 (multiplicity 4)
Tl: 0.000 0.000 0.500 (multiplicity 4)
Zn: 0.250 0.250 0.750 (multiplicity 4)

***

(10)
This entry pairs a crystal structure of KU3 with its computed X-ray diffraction stick pattern. Radiation: λ = 1.5418 Å (Cu Kα). Structure: a DFT-relaxed cell (GGA-PBE, Alexandria).
Neutral-atom scattering factors, no anomalous dispersion.

The 8 most intense peaks (2θ from 5° to 70°), low angle first:
(hkl), two_theta, Rel. int.
0 2 0, 12.6, 100
0 4 0, 25.4, 23
1 0 2, 37.4, 18
2 0 -2, 37.7, 10
1 2 2, 39.6, 30
2 2 -2, 39.9, 13
1 4 2, 45.7, 17
2 4 -2, 46.0, 9

Cell and atoms:
abc: 4.772 14.011 9.629
angles: 90.00 119.71 90.00
Space group P2_1/c (No. 14)
Unique sites:
K: 0.247 0.000 0.248 (multiplicity 4)
U: 0.007 0.227 0.508 (multiplicity 4)
U: 0.328 0.733 0.327 (multiplicity 4)
U: 0.342 0.233 0.843 (multiplicity 4)

***

(11)
This entry pairs a crystal structure of KW3 with its computed X-ray diffraction stick pattern. Radiation: λ = 1.5418 Å (Cu Kα). Structure: a DFT-relaxed cell (GGA-PBE, Alexandria).
Neutral-atom scattering factors, no anomalous dispersion.

The 8 most intense peaks (2θ from 5° to 70°), low angle first:
(hkl), two_theta, Rel. int.
0 0 1, 7.9, 100
0 0 4, 31.8, 21
1 0 0, 36.9, 19
0 0 5, 40.1, 11
1 0 2, 40.4, 70
1 0 3, 44.4, 22
1 0 4, 49.5, 9
1 1 0, 66.6, 12

Cell and atoms:
abc: 2.8095 2.8095 11.2462
angles: 90.00 90.00 120.00
Space group P-6m2 (No. 187)
Unique sites:
K: 0.0000 0.0000 0.0000 (multiplicity 1)
W: 0.0000 0.0000 0.5000 (multiplicity 1)
W: 0.6667 0.3333 0.2827 (multiplicity 2)

***

(12)
This entry pairs a crystal structure of K5W3 with its computed X-ray diffraction stick pattern. Radiation: λ = 1.5418 Å (Cu Kα). Structure: a DFT-relaxed cell (GGA-PBE, Alexandria).
Neutral-atom scattering factors, no anomalous dispersion.

The 8 most intense peaks (2θ from 5° to 70°), low angle first:
(hkl), two_theta, Rel. int.
1 1 0, 9.9, 100
0 2 0, 13.7, 23
2 0 0, 14.4, 14
2 2 0, 19.9, 13
1 3 0, 21.9, 16
0 4 0, 27.6, 15
4 2 1, 38.3, 12
6 2 1, 51.1, 9

Cell and atoms:
abc: 12.290 12.923 4.417
angles: 90.00 90.00 90.00
Space group Cmmm (No. 65)
Unique sites:
K: 0.000 0.000 0.000 (multiplicity 2)
K: 0.000 0.257 0.500 (multiplicity 4)
K: 0.250 0.250 0.000 (multiplicity 4)
W: 0.000 0.500 0.000 (multiplicity 2)
W: 0.100 0.500 0.500 (multiplicity 4)

***

(13)
This entry pairs a crystal structure of KW3 with its computed X-ray diffraction stick pattern. Radiation: λ = 1.5418 Å (Cu Kα). Structure: a DFT-relaxed cell (GGA-PBE, Alexandria).
Neutral-atom scattering factors, no anomalous dispersion.

The 8 most intense peaks (2θ from 5° to 70°), low angle first:
(hkl), two_theta, Rel. int.
0 0 1, 11.4, 100
0 1 2, 30.8, 18
1 1 0, 38.3, 11
1 1 -1, 39.5, 28
0 1 3, 40.5, 18
0 2 0, 41.1, 22
0 2 1, 42.9, 8
0 1 4, 51.5, 10

Cell and atoms:
abc: 2.785 4.384 7.769
angles: 90.00 93.48 90.00
Space group P2/m (No. 10)
Unique sites:
K: 0.000 0.000 0.000 (multiplicity 1)
W: 0.155 0.500 0.649 (multiplicity 2)
W: 0.500 0.000 0.500 (multiplicity 1)